(1)
This entry pairs a crystal structure of NaDyCu10 with its calculated XRD peak list. Radiation: Cu Kα (λ = 1.5418 Å). Structure: a DFT-relaxed cell (PBE, Alexandria).
No peak broadening, texture or thermal motion is included.

Most intense lines, 2θ from 10° to 80°, sorted by position:
two_theta, I_rel
10.19, 265
17.67, 86
30.15, 241
35.81, 234
41.58, 312
42.38, 1000
44.69, 303
47.49, 261
58.54, 108
62.69, 175
68.86, 216
75.88, 169

```
NaDyCu10
1.0
4.0552 0.0000 0.0000
0.0000 5.0190 0.0000
0.0000 0.0000 8.6812
Na Dy Cu
1 1 10
Direct
0.0000 0.0000 0.0000
0.0000 0.5000 0.5000
0.0000 0.0000 0.3301
0.0000 0.0000 0.6699
0.0000 0.5000 0.1649
0.0000 0.5000 0.8351
0.5000 0.0000 0.5000
0.5000 0.2540 0.2533
0.5000 0.2540 0.7467
0.5000 0.5000 0.0000
0.5000 0.7460 0.2533
0.5000 0.7460 0.7467
```

***

(2)
This entry pairs a crystal structure of Na2DyCu2Se4 with its calculated XRD peak list. Radiation: Cu Kα (λ = 1.5418 Å). Structure: a DFT-relaxed cell (PBE, Alexandria).
No peak broadening, texture or thermal motion is included.

Most intense lines, 2θ from 10° to 80°, sorted by position:
two_theta, I_rel
12.55, 1000
25.54, 272
26.19, 240
32.87, 332
33.27, 182
34.31, 437
35.56, 272
38.23, 162
42.72, 150
44.45, 309
46.15, 200
49.90, 157

```
Na2DyCu2Se4
1.0
7.3490 -1.9671 0.0000
7.3490 1.9671 0.0000
-2.8758 0.0000 7.0547
Na Dy Cu Se
2 1 2 4
Direct
0.1267 0.1267 0.0616
0.8733 0.8733 0.9384
0.0000 0.0000 0.5000
0.3158 0.3158 0.5073
0.6842 0.6842 0.4927
0.2116 0.2116 0.7040
0.4832 0.4832 0.7543
0.5168 0.5168 0.2457
0.7884 0.7884 0.2960
```

***

(3)
This entry pairs a crystal structure of NaDyTlCu with its calculated XRD peak list. Radiation: Cu Kα (λ = 1.5418 Å). Structure: a DFT-relaxed cell (PBE, Alexandria).
No peak broadening, texture or thermal motion is included.

Most intense lines, 2θ from 10° to 80°, sorted by position:
two_theta, I_rel
21.39, 397
24.75, 42
35.29, 1000
41.64, 220
43.58, 13
50.76, 178
55.69, 97
57.27, 17
63.33, 362
67.67, 74
74.63, 111
78.69, 75

```
NaDyTlCu
1.0
0.0000 3.5971 3.5971
3.5971 0.0000 3.5971
3.5971 3.5971 0.0000
Na Dy Tl Cu
1 1 1 1
Direct
0.0000 0.0000 0.0000
0.5000 0.5000 0.5000
0.7500 0.7500 0.7500
0.2500 0.2500 0.2500
```

***

(4)
This entry pairs a crystal structure of Nd4DyCu4 with its calculated XRD peak list. Radiation: Cu Kα (λ = 1.5418 Å). Structure: a DFT-relaxed cell (PBE, Alexandria).
No peak broadening, texture or thermal motion is included.

Most intense lines, 2θ from 10° to 80°, sorted by position:
two_theta, I_rel
27.23, 851
29.65, 485
33.32, 1000
36.55, 456
42.48, 141
43.85, 91
47.82, 627
52.70, 181
55.92, 254
65.88, 124
67.81, 104
79.75, 108

```
Nd4DyCu4
1.0
8.5029 0.0000 0.0000
0.0000 8.5029 0.0000
0.0000 0.0000 6.4442
Nd Dy Cu
8 2 8
Direct
0.0431 0.6605 0.1514
0.1605 0.9569 0.6514
0.3395 0.5431 0.6514
0.4569 0.8395 0.1514
0.5431 0.1605 0.8486
0.6605 0.4569 0.3486
0.8395 0.0431 0.3486
0.9569 0.3395 0.8486
0.2500 0.2500 0.2500
0.7500 0.7500 0.7500
0.0167 0.6278 0.5981
0.1278 0.9833 0.0981
0.3722 0.5167 0.0981
0.4833 0.8722 0.5981
0.5167 0.1278 0.4019
0.6278 0.4833 0.9019
0.8722 0.0167 0.9019
0.9833 0.3722 0.4019
```

***

(5)
This entry pairs a crystal structure of NdDy3Cu4 with its calculated XRD peak list. Radiation: Cu Kα (λ = 1.5418 Å). Structure: a DFT-relaxed cell (PBE, Alexandria).
No peak broadening, texture or thermal motion is included.

Most intense lines, 2θ from 10° to 80°, sorted by position:
two_theta, I_rel
25.42, 123
25.55, 62
36.31, 1000
44.87, 57
52.20, 117
52.49, 56
58.96, 53
59.20, 27
65.27, 233
65.46, 113
76.95, 36
77.19, 70

```
NdDy3Cu4
1.0
4.9562 0.0000 0.0000
0.0000 4.9562 0.0000
0.0000 0.0000 6.9732
Nd Dy Cu
1 3 4
Direct
0.0000 0.0000 0.0000
0.0000 0.0000 0.5000
0.5000 0.5000 0.0000
0.5000 0.5000 0.5000
0.0000 0.5000 0.2607
0.0000 0.5000 0.7393
0.5000 0.0000 0.2607
0.5000 0.0000 0.7393
```

***

(6)
This entry pairs a crystal structure of Nd2DyCuS5 with its calculated XRD peak list. Radiation: Cu Kα (λ = 1.5418 Å). Structure: a DFT-relaxed cell (PBE, Alexandria).
No peak broadening, texture or thermal motion is included.

Most intense lines, 2θ from 10° to 80°, sorted by position:
two_theta, I_rel
21.01, 190
23.30, 188
25.24, 654
27.72, 313
27.94, 191
28.78, 267
32.68, 447
32.90, 1000
38.40, 706
45.65, 198
46.33, 269
53.49, 185

```
Nd2DyCuS5
1.0
1.9598 -8.4568 0.0000
1.9598 8.4568 0.0000
0.0000 0.0000 11.6482
Nd Dy Cu S
4 2 2 10
Direct
0.1084 0.8916 0.5000
0.1217 0.8783 0.1247
0.8783 0.1217 0.6247
0.8916 0.1084 0.0000
0.1949 0.8051 0.8242
0.8051 0.1949 0.3242
0.4421 0.5579 0.2683
0.5579 0.4421 0.7683
0.0430 0.9570 0.8729
0.2892 0.7108 0.4876
0.3144 0.6856 0.1625
0.3570 0.6430 0.8158
0.4986 0.5014 0.5927
0.5014 0.4986 0.0927
0.6430 0.3570 0.3158
0.6856 0.3144 0.6625
0.7108 0.2892 0.9876
0.9570 0.0430 0.3729
```

***

(7)
This entry pairs a crystal structure of NdDyCuSi with its calculated XRD peak list. Radiation: Cu Kα (λ = 1.5418 Å). Structure: a DFT-relaxed cell (PBE, Alexandria).
No peak broadening, texture or thermal motion is included.

Most intense lines, 2θ from 10° to 80°, sorted by position:
two_theta, I_rel
21.66, 26
25.06, 324
35.74, 1000
42.18, 15
44.15, 99
51.44, 175
56.45, 6
58.05, 135
64.21, 355
75.72, 109

```
NdDyCuSi
1.0
0.0000 3.5529 3.5529
3.5529 0.0000 3.5529
3.5529 3.5529 0.0000
Nd Dy Cu Si
1 1 1 1
Direct
0.0000 0.0000 0.0000
0.5000 0.5000 0.5000
0.2500 0.2500 0.2500
0.7500 0.7500 0.7500
```

***

(8)
This entry pairs a crystal structure of Nd2DyCuTe5 with its calculated XRD peak list. Radiation: Cu Kα (λ = 1.5418 Å). Structure: a DFT-relaxed cell (PBE, Alexandria).
No peak broadening, texture or thermal motion is included.

Most intense lines, 2θ from 10° to 80°, sorted by position:
two_theta, I_rel
25.20, 165
27.79, 106
28.92, 432
29.56, 1000
31.31, 156
34.27, 634
37.68, 137
39.74, 126
41.59, 128
41.88, 298
44.99, 102
51.70, 170

```
Nd2DyCuTe5
1.0
2.1569 -9.5352 0.0000
2.1569 9.5352 0.0000
0.0000 0.0000 13.0280
Nd Dy Cu Te
4 2 2 10
Direct
0.1090 0.8910 0.5000
0.1241 0.8759 0.1205
0.8759 0.1241 0.6205
0.8910 0.1090 0.0000
0.1907 0.8093 0.8236
0.8093 0.1907 0.3236
0.4286 0.5714 0.2726
0.5714 0.4286 0.7726
0.0416 0.9584 0.8782
0.2861 0.7139 0.4866
0.3124 0.6876 0.1567
0.3547 0.6453 0.8135
0.4999 0.5001 0.1009
0.5001 0.4999 0.6009
0.6453 0.3547 0.3135
0.6876 0.3124 0.6567
0.7139 0.2861 0.9866
0.9584 0.0416 0.3782
```

***

(9)
This entry pairs a crystal structure of Dy6Cu2Ni with its calculated XRD peak list. Radiation: Cu Kα (λ = 1.5418 Å). Structure: a DFT-relaxed cell (PBE, Alexandria).
No peak broadening, texture or thermal motion is included.

Most intense lines, 2θ from 10° to 80°, sorted by position:
two_theta, I_rel
26.27, 294
29.43, 254
29.52, 297
29.71, 384
32.44, 1000
35.04, 729
35.21, 780
35.24, 566
37.43, 440
39.86, 190
42.27, 192
59.47, 294

```
Dy6Cu2Ni
1.0
-4.7492 4.7892 4.8052
4.7492 -4.7892 4.8052
4.7492 4.7892 -4.8052
Dy Cu Ni
12 4 2
Direct
0.0286 0.2018 0.8268
0.2563 0.5824 0.3261
0.2563 0.9302 0.6739
0.2603 0.3174 0.5777
0.2603 0.6826 0.9430
0.3751 0.2018 0.1732
0.6249 0.7982 0.8268
0.7397 0.3174 0.0570
0.7397 0.6826 0.4223
0.7437 0.0698 0.3261
0.7437 0.4176 0.6739
0.9714 0.7982 0.1732
0.0000 0.1495 0.1495
0.0000 0.8505 0.8505
0.3792 0.0000 0.3792
0.6208 0.0000 0.6208
0.0000 0.5000 0.5000
0.5000 0.5000 0.0000
```

***

(10)
This entry pairs a crystal structure of Dy2CuNi3 with its calculated XRD peak list. Radiation: Cu Kα (λ = 1.5418 Å). Structure: a DFT-relaxed cell (PBE, Alexandria).
No peak broadening, texture or thermal motion is included.

Most intense lines, 2θ from 10° to 80°, sorted by position:
two_theta, I_rel
21.16, 173
34.77, 650
35.49, 585
41.05, 485
41.37, 1000
41.99, 472
43.08, 234
62.79, 225
66.83, 233
67.28, 225
73.38, 227
75.11, 213

```
Dy2CuNi3
1.0
2.5805 1.4898 4.0910
-2.5805 1.4898 4.0910
0.0000 -2.9797 4.0910
Dy Cu Ni
2 1 3
Direct
0.1252 0.1252 0.1252
0.8748 0.8748 0.8748
0.5000 0.5000 0.5000
0.0000 0.5000 0.5000
0.5000 0.0000 0.5000
0.5000 0.5000 0.0000
```

***

(11)
This entry pairs a crystal structure of Dy3CuNi with its calculated XRD peak list. Radiation: Cu Kα (λ = 1.5418 Å). Structure: a DFT-relaxed cell (PBE, Alexandria).
No peak broadening, texture or thermal motion is included.

Most intense lines, 2θ from 10° to 80°, sorted by position:
two_theta, I_rel
24.66, 208
27.83, 581
32.11, 910
32.95, 982
33.07, 1000
37.49, 522
37.54, 534
46.33, 352
51.99, 463
52.60, 213
62.37, 248
62.54, 264

```
Dy3CuNi
1.0
5.0475 -3.2062 0.0000
5.0475 3.2062 0.0000
-3.0722 0.0000 7.2110
Dy Cu Ni
6 2 2
Direct
0.0080 0.0080 0.2388
0.3083 0.3083 0.6671
0.3115 0.3115 0.1434
0.6885 0.6885 0.8566
0.6917 0.6917 0.3329
0.9920 0.9920 0.7612
0.3052 0.6948 0.5000
0.6948 0.3052 0.5000
0.3070 0.6930 0.0000
0.6930 0.3070 0.0000
```

***

(12)
This entry pairs a crystal structure of Dy12Cu6Ni with its calculated XRD peak list. Radiation: Cu Kα (λ = 1.5418 Å). Structure: a DFT-relaxed cell (PBE, Alexandria).
No peak broadening, texture or thermal motion is included.

Most intense lines, 2θ from 10° to 80°, sorted by position:
two_theta, I_rel
23.54, 226
26.98, 1000
29.30, 271
31.51, 546
34.19, 782
37.95, 616
39.10, 622
40.26, 223
53.39, 223
55.17, 203
55.65, 447
57.82, 196

```
Dy12Cu6Ni
1.0
6.0953 3.5191 3.9297
-6.0953 3.5191 3.9297
0.0000 -7.0383 3.9297
Dy Cu Ni
12 6 1
Direct
0.0326 0.9178 0.6810
0.0822 0.3190 0.9674
0.1895 0.5662 0.4162
0.3190 0.9674 0.0822
0.4162 0.1895 0.5662
0.4338 0.5838 0.8105
0.5662 0.4162 0.1895
0.5838 0.8105 0.4338
0.6810 0.0326 0.9178
0.8105 0.4338 0.5838
0.9178 0.6810 0.0326
0.9674 0.0822 0.3190
0.1277 0.3120 0.6298
0.3120 0.6298 0.1277
0.3702 0.8723 0.6880
0.6298 0.1277 0.3120
0.6880 0.3702 0.8723
0.8723 0.6880 0.3702
0.0000 0.0000 0.0000
```

***

(13)
This entry pairs a crystal structure of Dy2Cu3Ni2 with its calculated XRD peak list. Radiation: Cu Kα (λ = 1.5418 Å). Structure: a DFT-relaxed cell (PBE, Alexandria).
No peak broadening, texture or thermal motion is included.

Most intense lines, 2θ from 10° to 80°, sorted by position:
two_theta, I_rel
26.41, 238
30.44, 384
30.64, 338
35.84, 321
36.14, 487
37.31, 1000
40.26, 394
40.88, 849
42.21, 855
44.40, 601
63.84, 392
72.68, 243

```
Dy2Cu3Ni2
1.0
4.8178 -2.0404 0.0000
4.8178 2.0404 0.0000
-2.3075 0.0000 5.8349
Dy Cu Ni
2 3 2
Direct
0.1453 0.1453 0.2495
0.8547 0.8547 0.7505
0.1384 0.1384 0.7217
0.5000 0.5000 0.5000
0.8616 0.8616 0.2783
0.3902 0.3902 0.0690
0.6098 0.6098 0.9310
```